This entry pairs a crystal structure of Na2ZnBr4 with its simulated powder XRD pattern. Radiation: Cu Ka. Structure: DFT lattice parameters and positions (PBE).
Neutral-atom scattering factors, no anomalous dispersion.

Structure:
```
data_Na2ZnBr4
_space_group_name_H-M_alt 'I -4 2 m'
_space_group_IT_number 121
_space_group_name_Hall 'I -4 2'
_cell_length_a 7.0298
_cell_length_b 7.0298
_cell_length_c 10.6819
_cell_angle_alpha 90.00
_cell_angle_beta 90.00
_cell_angle_gamma 90.00
loop_
_atom_site_label
_atom_site_fract_x
_atom_site_fract_y
_atom_site_fract_z
Na1 0.0000 0.5000 0.2500
Zn1 0.0000 0.0000 0.0000
Br1 0.2096 0.2096 0.1195
```

Most intense lines, 2θ from 10° to 90°, in order of rising 2θ:
- hkl 1 0 1, 15.09 deg, rel. 49
- hkl 1 1 2, 24.46 deg, rel. 100
- hkl 2 0 0, 25.34 deg, rel. 12
- hkl 2 1 1, 29.62 deg, rel. 13
- hkl 2 2 0, 36.14 deg, rel. 22
- hkl 2 1 3, 38.19 deg, rel. 16
- hkl 2 0 4, 42.51 deg, rel. 33
- hkl 3 1 2, 44.13 deg, rel. 24
- hkl 3 2 1, 47.40 deg, rel. 16
- hkl 1 1 6, 54.77 deg, rel. 10